Record 1
Diffraction record for DySi2. The X-ray diffraction stick pattern is simulated, not measured: it uses a DFT-relaxed cell (PBE, the Materials Project) and Cu Ka.

Principal peaks in the range 2θ = 10–90°, sorted by position:
23.1 deg, d 3.851, I = 43.3; 24.5 deg, d 3.627, I = 27.7; 29.0 deg, d 3.080, I = 54.1; 34.1 deg, d 2.632, I = 100.0; 38.3 deg, d 2.348, I = 44.1; 45.4 deg, d 1.997, I = 29.3; 49.6 deg, d 1.839, I = 31.9; 60.9 deg, d 1.521, I = 22.7

```
data_DySi2
_symmetry_space_group_name_H-M 'P 1'
_symmetry_Int_Tables_number 1
_symmetry_space_group_name_Hall 'P 1'
_cell_length_a 3.994
_cell_length_b 3.994
_cell_length_c 14.510
_cell_angle_alpha 90.00
_cell_angle_beta 90.00
_cell_angle_gamma 90.00
loop_
_atom_site_label
_atom_site_type_symbol
_atom_site_fract_x
_atom_site_fract_y
_atom_site_fract_z
_atom_site_occupancy
Dy1 Dy 0.000 0.250 0.375 1
Dy2 Dy 0.000 0.750 0.625 1
Dy3 Dy 0.500 0.250 0.125 1
Dy4 Dy 0.500 0.750 0.875 1
Si1 Si 0.000 0.250 0.792 1
Si2 Si 0.000 0.250 0.958 1
Si3 Si 0.000 0.750 0.042 1
Si4 Si 0.000 0.750 0.208 1
Si5 Si 0.500 0.250 0.542 1
Si6 Si 0.500 0.250 0.708 1
Si7 Si 0.500 0.750 0.292 1
Si8 Si 0.500 0.750 0.458 1
```

***

Record 2
Diffraction record for Dy5Si4. The X-ray diffraction stick pattern is simulated, not measured: it uses a DFT-relaxed cell (PBE, the Materials Project) and Cu Ka.

Principal peaks in the range 2θ = 10–90°, sorted by position:
27.3 deg, d 3.262, I = 49.1; 30.3 deg, d 2.951, I = 48.0; 32.0 deg, d 2.796, I = 66.5; 32.5 deg, d 2.756, I = 100.0; 33.9 deg, d 2.647, I = 72.4; 34.1 deg, d 2.630, I = 44.3; 37.0 deg, d 2.428, I = 38.7; 57.6 deg, d 1.601, I = 48.0

```
data_Dy5Si4
_symmetry_space_group_name_H-M 'P 1'
_symmetry_Int_Tables_number 1
_symmetry_space_group_name_Hall 'P 1'
_cell_length_a 7.432
_cell_length_b 14.574
_cell_length_c 7.701
_cell_angle_alpha 90.00
_cell_angle_beta 90.00
_cell_angle_gamma 90.00
loop_
_atom_site_label
_atom_site_type_symbol
_atom_site_fract_x
_atom_site_fract_y
_atom_site_fract_z
_atom_site_occupancy
Dy1 Dy 0.027 0.098 0.183 1
Dy2 Dy 0.027 0.402 0.183 1
Dy3 Dy 0.150 0.750 0.513 1
Dy4 Dy 0.181 0.123 0.680 1
Dy5 Dy 0.181 0.377 0.680 1
Dy6 Dy 0.319 0.623 0.180 1
Dy7 Dy 0.319 0.877 0.180 1
Dy8 Dy 0.350 0.250 0.013 1
Dy9 Dy 0.473 0.598 0.683 1
Dy10 Dy 0.473 0.902 0.683 1
Dy11 Dy 0.527 0.098 0.317 1
Dy12 Dy 0.527 0.402 0.317 1
Dy13 Dy 0.650 0.750 0.987 1
Dy14 Dy 0.681 0.123 0.820 1
Dy15 Dy 0.681 0.377 0.820 1
Dy16 Dy 0.819 0.623 0.320 1
Dy17 Dy 0.819 0.877 0.320 1
Dy18 Dy 0.850 0.250 0.487 1
Dy19 Dy 0.973 0.598 0.817 1
Dy20 Dy 0.973 0.902 0.817 1
Si1 Si 0.023 0.750 0.103 1
Si2 Si 0.147 0.540 0.472 1
Si3 Si 0.147 0.960 0.472 1
Si4 Si 0.232 0.250 0.373 1
Si5 Si 0.268 0.750 0.873 1
Si6 Si 0.353 0.040 0.972 1
Si7 Si 0.353 0.460 0.972 1
Si8 Si 0.477 0.250 0.603 1
Si9 Si 0.523 0.750 0.397 1
Si10 Si 0.647 0.540 0.028 1
Si11 Si 0.647 0.960 0.028 1
Si12 Si 0.732 0.250 0.127 1
Si13 Si 0.768 0.750 0.627 1
Si14 Si 0.853 0.040 0.528 1
Si15 Si 0.853 0.460 0.528 1
Si16 Si 0.977 0.250 0.897 1
```

***

Record 3
Diffraction record for Dy5Si3. The X-ray diffraction stick pattern is simulated, not measured: it uses a DFT-relaxed cell (PBE, the Materials Project) and Cu Ka.

Principal peaks in the range 2θ = 10–90°, sorted by position:
24.3 deg, d 3.657, I = 18.7; 25.3 deg, d 3.520, I = 26.0; 30.6 deg, d 2.920, I = 28.0; 32.4 deg, d 2.764, I = 27.4; 35.3 deg, d 2.539, I = 100.0; 36.9 deg, d 2.438, I = 20.4; 52.0 deg, d 1.760, I = 15.5; 58.2 deg, d 1.586, I = 17.2

```
data_Dy5Si3
_symmetry_space_group_name_H-M 'P 1'
_symmetry_Int_Tables_number 1
_symmetry_space_group_name_Hall 'P 1'
_cell_length_a 8.446
_cell_length_b 8.446
_cell_length_c 6.369
_cell_angle_alpha 90.00
_cell_angle_beta 90.00
_cell_angle_gamma 120.00
loop_
_atom_site_label
_atom_site_type_symbol
_atom_site_fract_x
_atom_site_fract_y
_atom_site_fract_z
_atom_site_occupancy
Dy1 Dy 0.000 0.243 0.250 1
Dy2 Dy 0.000 0.757 0.750 1
Dy3 Dy 0.243 0.000 0.250 1
Dy4 Dy 0.243 0.243 0.750 1
Dy5 Dy 0.333 0.667 0.000 1
Dy6 Dy 0.333 0.667 0.500 1
Dy7 Dy 0.667 0.333 0.000 1
Dy8 Dy 0.667 0.333 0.500 1
Dy9 Dy 0.757 0.000 0.750 1
Dy10 Dy 0.757 0.757 0.250 1
Si1 Si 0.000 0.395 0.750 1
Si2 Si 0.000 0.605 0.250 1
Si3 Si 0.395 0.000 0.750 1
Si4 Si 0.395 0.395 0.250 1
Si5 Si 0.605 0.000 0.250 1
Si6 Si 0.605 0.605 0.750 1
```

***

Record 4
Diffraction record for DySi2. The X-ray diffraction stick pattern is simulated, not measured: it uses a DFT-relaxed cell (PBE, the Materials Project) and Cu Ka.

Principal peaks in the range 2θ = 10–90°, sorted by position:
22.5 deg, d 3.952, I = 13.1; 25.1 deg, d 3.546, I = 51.5; 34.0 deg, d 2.639, I = 100.0; 44.2 deg, d 2.047, I = 31.5; 53.1 deg, d 1.726, I = 13.9; 56.9 deg, d 1.618, I = 22.7; 65.7 deg, d 1.422, I = 19.4; 74.8 deg, d 1.269, I = 20.3

```
data_DySi2
_symmetry_space_group_name_H-M 'P 1'
_symmetry_Int_Tables_number 1
_symmetry_space_group_name_Hall 'P 1'
_cell_length_a 4.095
_cell_length_b 4.095
_cell_length_c 3.952
_cell_angle_alpha 90.00
_cell_angle_beta 90.00
_cell_angle_gamma 120.00
loop_
_atom_site_label
_atom_site_type_symbol
_atom_site_fract_x
_atom_site_fract_y
_atom_site_fract_z
_atom_site_occupancy
Dy1 Dy 0.000 0.000 0.000 1
Si1 Si 0.333 0.667 0.500 1
Si2 Si 0.667 0.333 0.500 1
```

***

Record 5
Diffraction record for Dy2TiSi2. The X-ray diffraction stick pattern is simulated, not measured: it uses a DFT-relaxed cell (PBE, the Materials Project) and Cu Ka.

Principal peaks in the range 2θ = 10–90°, sorted by position:
19.0 deg, d 4.681, I = 38.0; 25.4 deg, d 3.511, I = 36.9; 30.6 deg, d 2.918, I = 100.0; 31.9 deg, d 2.808, I = 26.9; 36.3 deg, d 2.476, I = 30.6; 40.2 deg, d 2.244, I = 44.5; 43.9 deg, d 2.063, I = 36.8; 44.8 deg, d 2.024, I = 41.3

```
data_Dy2TiSi2
_symmetry_space_group_name_H-M 'P 1'
_symmetry_Int_Tables_number 1
_symmetry_space_group_name_Hall 'P 1'
_cell_length_a 2.918
_cell_length_b 2.918
_cell_length_c 14.042
_cell_angle_alpha 90.00
_cell_angle_beta 90.00
_cell_angle_gamma 90.00
loop_
_atom_site_label
_atom_site_type_symbol
_atom_site_fract_x
_atom_site_fract_y
_atom_site_fract_z
_atom_site_occupancy
Dy1 Dy 0.000 0.000 0.123 1
Dy2 Dy 0.000 0.000 0.877 1
Ti1 Ti 0.000 0.000 0.500 1
Si1 Si 0.000 0.000 0.324 1
Si2 Si 0.000 0.000 0.676 1
```

***

Record 6
Diffraction record for SmDy3. The X-ray diffraction stick pattern is simulated, not measured: it uses a DFT-relaxed cell (PBE, the Materials Project) and Cu Ka.

Principal peaks in the range 2θ = 10–90°, sorted by position:
28.4 deg, d 3.146, I = 23.8; 31.5 deg, d 2.843, I = 24.2; 32.5 deg, d 2.753, I = 100.0; 42.9 deg, d 2.109, I = 15.6; 50.2 deg, d 1.816, I = 19.8; 56.7 deg, d 1.623, I = 20.7; 60.5 deg, d 1.531, I = 22.7; 61.1 deg, d 1.516, I = 16.5

```
data_SmDy3
_symmetry_space_group_name_H-M 'P 1'
_symmetry_Int_Tables_number 1
_symmetry_space_group_name_Hall 'P 1'
_cell_length_a 7.266
_cell_length_b 7.266
_cell_length_c 5.686
_cell_angle_alpha 90.00
_cell_angle_beta 90.00
_cell_angle_gamma 120.00
loop_
_atom_site_label
_atom_site_type_symbol
_atom_site_fract_x
_atom_site_fract_y
_atom_site_fract_z
_atom_site_occupancy
Sm1 Sm 0.333 0.667 0.250 1
Sm2 Sm 0.667 0.333 0.750 1
Dy1 Dy 0.166 0.332 0.750 1
Dy2 Dy 0.166 0.834 0.750 1
Dy3 Dy 0.332 0.166 0.250 1
Dy4 Dy 0.668 0.834 0.750 1
Dy5 Dy 0.834 0.166 0.250 1
Dy6 Dy 0.834 0.668 0.250 1
```

***

Record 7
Diffraction record for SmDy3. The X-ray diffraction stick pattern is simulated, not measured: it uses a DFT-relaxed cell (PBE, the Materials Project) and Cu Ka.

Principal peaks in the range 2θ = 10–90°, sorted by position:
30.7 deg, d 2.913, I = 100.0; 35.6 deg, d 2.523, I = 50.6; 51.2 deg, d 1.784, I = 36.1; 60.9 deg, d 1.521, I = 42.9; 63.9 deg, d 1.457, I = 12.4; 75.3 deg, d 1.261, I = 5.8; 83.5 deg, d 1.158, I = 17.8; 86.2 deg, d 1.128, I = 16.6

```
data_SmDy3
_symmetry_space_group_name_H-M 'P 1'
_symmetry_Int_Tables_number 1
_symmetry_space_group_name_Hall 'P 1'
_cell_length_a 5.044
_cell_length_b 5.044
_cell_length_c 10.099
_cell_angle_alpha 90.00
_cell_angle_beta 90.00
_cell_angle_gamma 90.00
loop_
_atom_site_label
_atom_site_type_symbol
_atom_site_fract_x
_atom_site_fract_y
_atom_site_fract_z
_atom_site_occupancy
Sm1 Sm 0.000 0.000 0.000 1
Sm2 Sm 0.500 0.500 0.500 1
Dy1 Dy 0.000 0.000 0.500 1
Dy2 Dy 0.000 0.500 0.250 1
Dy3 Dy 0.000 0.500 0.750 1
Dy4 Dy 0.500 0.000 0.250 1
Dy5 Dy 0.500 0.000 0.750 1
Dy6 Dy 0.500 0.500 0.000 1
```

***

Record 8
Diffraction record for Sm3Dy. The X-ray diffraction stick pattern is simulated, not measured: it uses a DFT-relaxed cell (PBE, the Materials Project) and Cu Ka.

Principal peaks in the range 2θ = 10–90°, sorted by position:
28.2 deg, d 3.162, I = 23.5; 30.8 deg, d 2.906, I = 25.1; 32.2 deg, d 2.777, I = 100.0; 42.2 deg, d 2.139, I = 15.9; 50.0 deg, d 1.826, I = 19.6; 55.6 deg, d 1.652, I = 21.3; 59.8 deg, d 1.546, I = 22.8; 60.7 deg, d 1.526, I = 16.4

```
data_Sm3Dy
_symmetry_space_group_name_H-M 'P 1'
_symmetry_Int_Tables_number 1
_symmetry_space_group_name_Hall 'P 1'
_cell_length_a 7.302
_cell_length_b 7.302
_cell_length_c 5.811
_cell_angle_alpha 90.00
_cell_angle_beta 90.00
_cell_angle_gamma 120.00
loop_
_atom_site_label
_atom_site_type_symbol
_atom_site_fract_x
_atom_site_fract_y
_atom_site_fract_z
_atom_site_occupancy
Sm1 Sm 0.167 0.333 0.250 1
Sm2 Sm 0.167 0.833 0.250 1
Sm3 Sm 0.333 0.167 0.750 1
Sm4 Sm 0.667 0.833 0.250 1
Sm5 Sm 0.833 0.167 0.750 1
Sm6 Sm 0.833 0.667 0.750 1
Dy1 Dy 0.333 0.667 0.750 1
Dy2 Dy 0.667 0.333 0.250 1
```

***

Record 9
Diffraction record for Sm3Dy. The X-ray diffraction stick pattern is simulated, not measured: it uses a DFT-relaxed cell (PBE, the Materials Project) and Cu Ka.

Principal peaks in the range 2θ = 10–90°, sorted by position:
30.3 deg, d 2.950, I = 100.0; 35.1 deg, d 2.555, I = 50.7; 50.5 deg, d 1.806, I = 36.2; 60.1 deg, d 1.541, I = 43.1; 63.0 deg, d 1.475, I = 12.4; 74.2 deg, d 1.277, I = 5.8; 82.2 deg, d 1.172, I = 17.7; 84.9 deg, d 1.143, I = 16.5

```
data_Sm3Dy
_symmetry_space_group_name_H-M 'P 1'
_symmetry_Int_Tables_number 1
_symmetry_space_group_name_Hall 'P 1'
_cell_length_a 5.109
_cell_length_b 5.109
_cell_length_c 5.109
_cell_angle_alpha 90.00
_cell_angle_beta 90.00
_cell_angle_gamma 90.00
loop_
_atom_site_label
_atom_site_type_symbol
_atom_site_fract_x
_atom_site_fract_y
_atom_site_fract_z
_atom_site_occupancy
Sm1 Sm 0.000 0.000 0.500 1
Sm2 Sm 0.000 0.500 0.000 1
Sm3 Sm 0.500 0.000 0.000 1
Dy1 Dy 0.500 0.500 0.500 1
```

***

Record 10
Diffraction record for Sm3Dy. The X-ray diffraction stick pattern is simulated, not measured: it uses a DFT-relaxed cell (PBE, the Materials Project) and Cu Ka.

Principal peaks in the range 2θ = 10–90°, sorted by position:
30.4 deg, d 2.941, I = 100.0; 35.2 deg, d 2.547, I = 50.6; 50.7 deg, d 1.801, I = 36.2; 60.3 deg, d 1.536, I = 43.0; 63.2 deg, d 1.470, I = 12.4; 82.6 deg, d 1.168, I = 17.7; 85.2 deg, d 1.139, I = 11.0; 85.3 deg, d 1.138, I = 5.5

```
data_Sm3Dy
_symmetry_space_group_name_H-M 'P 1'
_symmetry_Int_Tables_number 1
_symmetry_space_group_name_Hall 'P 1'
_cell_length_a 5.096
_cell_length_b 5.096
_cell_length_c 10.173
_cell_angle_alpha 90.00
_cell_angle_beta 90.00
_cell_angle_gamma 90.00
loop_
_atom_site_label
_atom_site_type_symbol
_atom_site_fract_x
_atom_site_fract_y
_atom_site_fract_z
_atom_site_occupancy
Sm1 Sm 0.000 0.000 0.000 1
Sm2 Sm 0.000 0.500 0.250 1
Sm3 Sm 0.000 0.500 0.750 1
Sm4 Sm 0.500 0.000 0.250 1
Sm5 Sm 0.500 0.000 0.750 1
Sm6 Sm 0.500 0.500 0.500 1
Dy1 Dy 0.000 0.000 0.500 1
Dy2 Dy 0.500 0.500 0.000 1
```

***

Record 11
Diffraction record for SmDyTl2. The X-ray diffraction stick pattern is simulated, not measured: it uses a DFT-relaxed cell (PBE, the Materials Project) and Cu Ka.

Principal peaks in the range 2θ = 10–90°, sorted by position:
23.2 deg, d 3.830, I = 1.8; 33.1 deg, d 2.708, I = 100.0; 47.5 deg, d 1.915, I = 18.4; 53.5 deg, d 1.713, I = 0.9; 59.1 deg, d 1.563, I = 38.7; 69.4 deg, d 1.354, I = 12.0; 79.1 deg, d 1.211, I = 16.8; 88.4 deg, d 1.106, I = 4.4

```
data_SmDyTl2
_symmetry_space_group_name_H-M 'P 1'
_symmetry_Int_Tables_number 1
_symmetry_space_group_name_Hall 'P 1'
_cell_length_a 7.659
_cell_length_b 7.659
_cell_length_c 7.659
_cell_angle_alpha 90.00
_cell_angle_beta 90.00
_cell_angle_gamma 90.00
loop_
_atom_site_label
_atom_site_type_symbol
_atom_site_fract_x
_atom_site_fract_y
_atom_site_fract_z
_atom_site_occupancy
Sm1 Sm 0.000 0.000 0.000 1
Sm2 Sm 0.000 0.500 0.500 1
Sm3 Sm 0.500 0.000 0.500 1
Sm4 Sm 0.500 0.500 0.000 1
Dy1 Dy 0.000 0.000 0.500 1
Dy2 Dy 0.000 0.500 0.000 1
Dy3 Dy 0.500 0.000 0.000 1
Dy4 Dy 0.500 0.500 0.500 1
Tl1 Tl 0.250 0.250 0.250 1
Tl2 Tl 0.250 0.250 0.750 1
Tl3 Tl 0.250 0.750 0.250 1
Tl4 Tl 0.250 0.750 0.750 1
Tl5 Tl 0.750 0.250 0.250 1
Tl6 Tl 0.750 0.250 0.750 1
Tl7 Tl 0.750 0.750 0.250 1
Tl8 Tl 0.750 0.750 0.750 1
```

***

Record 12
Diffraction record for Dy5Sn4. The X-ray diffraction stick pattern is simulated, not measured: it uses a DFT-relaxed cell (PBE, the Materials Project) and Cu Ka.

Principal peaks in the range 2θ = 10–90°, sorted by position:
30.0 deg, d 2.975, I = 100.0; 30.2 deg, d 2.960, I = 57.2; 31.2 deg, d 2.863, I = 33.1; 31.8 deg, d 2.812, I = 57.6; 32.8 deg, d 2.730, I = 30.4; 33.9 deg, d 2.643, I = 55.4; 35.2 deg, d 2.547, I = 45.8; 35.4 deg, d 2.539, I = 55.6

```
data_Dy5Sn4
_symmetry_space_group_name_H-M 'P 1'
_symmetry_Int_Tables_number 1
_symmetry_space_group_name_Hall 'P 1'
_cell_length_a 8.046
_cell_length_b 15.529
_cell_length_c 8.149
_cell_angle_alpha 90.00
_cell_angle_beta 90.00
_cell_angle_gamma 90.00
loop_
_atom_site_label
_atom_site_type_symbol
_atom_site_fract_x
_atom_site_fract_y
_atom_site_fract_z
_atom_site_occupancy
Dy1 Dy 0.022 0.098 0.180 1
Dy2 Dy 0.022 0.402 0.180 1
Dy3 Dy 0.132 0.621 0.335 1
Dy4 Dy 0.132 0.879 0.335 1
Dy5 Dy 0.197 0.250 0.503 1
Dy6 Dy 0.303 0.750 0.003 1
Dy7 Dy 0.368 0.121 0.835 1
Dy8 Dy 0.368 0.379 0.835 1
Dy9 Dy 0.478 0.598 0.680 1
Dy10 Dy 0.478 0.902 0.680 1
Dy11 Dy 0.522 0.098 0.320 1
Dy12 Dy 0.522 0.402 0.320 1
Dy13 Dy 0.632 0.621 0.165 1
Dy14 Dy 0.632 0.879 0.165 1
Dy15 Dy 0.697 0.250 0.997 1
Dy16 Dy 0.803 0.750 0.497 1
Dy17 Dy 0.868 0.121 0.665 1
Dy18 Dy 0.868 0.379 0.665 1
Dy19 Dy 0.978 0.598 0.820 1
Dy20 Dy 0.978 0.902 0.820 1
Sn1 Sn 0.065 0.250 0.880 1
Sn2 Sn 0.171 0.750 0.645 1
Sn3 Sn 0.208 0.042 0.533 1
Sn4 Sn 0.208 0.458 0.533 1
Sn5 Sn 0.292 0.542 0.033 1
Sn6 Sn 0.292 0.958 0.033 1
Sn7 Sn 0.329 0.250 0.145 1
Sn8 Sn 0.435 0.750 0.380 1
Sn9 Sn 0.565 0.250 0.620 1
Sn10 Sn 0.671 0.750 0.855 1
Sn11 Sn 0.708 0.042 0.967 1
Sn12 Sn 0.708 0.458 0.967 1
Sn13 Sn 0.792 0.542 0.467 1
Sn14 Sn 0.792 0.958 0.467 1
Sn15 Sn 0.829 0.250 0.355 1
Sn16 Sn 0.935 0.750 0.120 1
```